The following is a theoretical X-ray diffraction stick pattern of MgPaNi5. It was derived from DFT lattice parameters and positions (GGA-PBE), using Cu Ka.
Lines closer than 0.1° are merged.

Largest 8 diffraction maxima, low angle first, 2θ from 5° to 70°:
2θ/deg	I_rel
17.5	91
27.1	65
29.0	59
41.9	100
42.6	95
45.7	32
47.1	36
50.2	58

Cell and atoms:
```
MgPaNi5
1.0
5.1954 0.0000 0.0000
0.0000 7.7246 0.0000
0.0000 0.0000 5.0804
Mg Pa Ni
2 2 10
Cartesian
0.0000 0.0000 0.0000
2.5977 3.8623 0.0000
0.0000 3.8623 2.5402
2.5977 0.0000 2.5402
0.0000 0.0000 2.5402
1.2989 1.9312 1.2540
1.2989 1.9312 3.8263
1.2989 5.7935 1.2540
1.2989 5.7935 3.8263
2.5977 3.8623 2.5402
3.8966 1.9312 1.2540
3.8966 1.9312 3.8263
3.8966 5.7935 1.2540
3.8966 5.7935 3.8263
```